Record 1
Starting from a GGA-PBE-relaxed structure, the powder X-ray diffraction pattern of CaFe2Ni was computed for Cu Ka.
Peak positions follow from Bragg's law for the DFT cell and can differ from measured ones.

The 6 most intense peaks (10° ≤ 2θ ≤ 90°), low angle first:
- 2θ = 13.40°, intensity 51
- 2θ = 39.85°, intensity 100
- 2θ = 41.13°, intensity 68
- 2θ = 50.83°, intensity 26
- 2θ = 59.58°, intensity 21
- 2θ = 74.10°, intensity 27

Structure:
Cell: 3.103 3.103 6.608 Å, 90.00 90.00 90.00°
Fractional positions:
Ca 0.000 0.000 0.000
Fe 0.000 0.000 0.505
Fe 0.500 0.500 0.330
Ni 0.500 0.500 0.696

=====

Record 2
Starting from a GGA-PBE-relaxed structure, the powder X-ray diffraction pattern of Sm3Re2O9 was computed for Cu Ka.
Peak positions follow from Bragg's law for the DFT cell and can differ from measured ones.

The 6 most intense peaks (10° ≤ 2θ ≤ 90°), low angle first:
- 2θ = 26.61°, intensity 62
- 2θ = 26.77°, intensity 64
- 2θ = 26.88°, intensity 94
- 2θ = 27.89°, intensity 100
- 2θ = 32.24°, intensity 76
- 2θ = 45.96°, intensity 42

Structure:
Cell: 5.558 6.897 10.934 Å, 76.77 75.44 68.77°
Fractional positions:
Sm 0.016 0.207 0.269
Sm 0.236 0.151 0.885
Sm 0.301 0.605 0.369
Sm 0.699 0.395 0.631
Sm 0.764 0.849 0.115
Sm 0.984 0.793 0.731
Re 0.345 0.127 0.567
Re 0.478 0.613 0.907
Re 0.522 0.387 0.093
Re 0.655 0.873 0.433
O 0.057 0.118 0.722
O 0.071 0.206 0.475
O 0.126 0.812 0.941
O 0.190 0.489 0.204
O 0.290 0.422 0.576
O 0.339 0.472 0.819
O 0.397 0.167 0.073
O 0.404 0.811 0.599
O 0.414 0.922 0.312
O 0.586 0.078 0.688
O 0.596 0.189 0.401
O 0.603 0.833 0.927
O 0.661 0.528 0.181
O 0.710 0.578 0.424
O 0.810 0.511 0.796
O 0.874 0.188 0.059
O 0.929 0.794 0.525
O 0.943 0.882 0.278

=====

Record 3
Starting from a GGA-PBE-relaxed structure, the powder X-ray diffraction pattern of Mg7Rh4Pb was computed for Cu Ka.
Peak positions follow from Bragg's law for the DFT cell and can differ from measured ones.

The 6 most intense peaks (10° ≤ 2θ ≤ 90°), low angle first:
- 2θ = 14.28°, intensity 61
- 2θ = 26.82°, intensity 100
- 2θ = 28.27°, intensity 41
- 2θ = 36.29°, intensity 68
- 2θ = 40.21°, intensity 37
- 2θ = 43.03°, intensity 46

Structure:
Cell: 6.710 6.710 9.283 Å, 123.08 123.08 43.30°
Fractional positions:
Mg 0.000 0.000 0.000
Mg 0.179 0.179 0.617
Mg 0.280 0.280 0.130
Mg 0.432 0.432 0.625
Mg 0.568 0.568 0.375
Mg 0.720 0.720 0.870
Mg 0.821 0.821 0.383
Rh 0.069 0.069 0.782
Rh 0.190 0.190 0.343
Rh 0.810 0.810 0.657
Rh 0.931 0.931 0.218
Pb 0.500 0.500 0.000

=====

Record 4
Starting from a GGA-PBE-relaxed structure, the powder X-ray diffraction pattern of BeSbRu was computed for Cu Ka.
Peak positions follow from Bragg's law for the DFT cell and can differ from measured ones.

The 6 most intense peaks (10° ≤ 2θ ≤ 90°), low angle first:
- 2θ = 22.08°, intensity 40
- 2θ = 28.03°, intensity 54
- 2θ = 30.42°, intensity 44
- 2θ = 38.58°, intensity 100
- 2θ = 42.61°, intensity 75
- 2θ = 44.30°, intensity 67

Structure:
Cell: 4.658 4.658 4.658 Å, 140.39 136.32 60.42°
Fractional positions:
Be 0.000 0.000 0.000
Sb 0.319 0.319 0.000
Ru 0.646 0.646 0.000

=====

Record 5
Starting from a GGA-PBE-relaxed structure, the powder X-ray diffraction pattern of La4InI3 was computed for Cu Ka.
Peak positions follow from Bragg's law for the DFT cell and can differ from measured ones.

The 6 most intense peaks (10° ≤ 2θ ≤ 90°), low angle first:
- 2θ = 27.47°, intensity 100
- 2θ = 39.25°, intensity 77
- 2θ = 48.57°, intensity 28
- 2θ = 56.71°, intensity 13
- 2θ = 64.15°, intensity 36
- 2θ = 71.14°, intensity 26

Structure:
Cell: 6.493 6.493 6.493 Å, 90.00 90.00 90.00°
Fractional positions:
La 0.000 0.000 0.000
La 0.000 0.500 0.500
La 0.500 0.000 0.500
La 0.500 0.500 0.000
In 0.500 0.500 0.500
I 0.000 0.000 0.500
I 0.000 0.500 0.000
I 0.500 0.000 0.000

=====

Record 6
Starting from a GGA-PBE-relaxed structure, the powder X-ray diffraction pattern of Cs2ZnHg3F12 was computed for Cu Ka.
Peak positions follow from Bragg's law for the DFT cell and can differ from measured ones.

The 6 most intense peaks (10° ≤ 2θ ≤ 90°), low angle first:
- 2θ = 25.86°, intensity 89
- 2θ = 26.09°, intensity 100
- 2θ = 27.12°, intensity 70
- 2θ = 44.82°, intensity 46
- 2θ = 45.97°, intensity 42
- 2θ = 53.68°, intensity 34

Structure:
Cell: 7.902 7.902 7.902 Å, 61.56 61.56 61.56°
Fractional positions:
Cs 0.140 0.140 0.140
Cs 0.860 0.860 0.860
Zn 0.500 0.500 0.500
Hg 0.000 0.500 0.500
Hg 0.500 0.000 0.500
Hg 0.500 0.500 0.000
F 0.161 0.161 0.562
F 0.161 0.562 0.161
F 0.203 0.564 0.564
F 0.436 0.436 0.797
F 0.436 0.797 0.436
F 0.438 0.839 0.839
F 0.562 0.161 0.161
F 0.564 0.203 0.564
F 0.564 0.564 0.203
F 0.797 0.436 0.436
F 0.839 0.438 0.839
F 0.839 0.839 0.438

=====

Record 7
Starting from a GGA-PBE-relaxed structure, the powder X-ray diffraction pattern of TbSmHoTm3 was computed for Cu Ka.
Peak positions follow from Bragg's law for the DFT cell and can differ from measured ones.

The 6 most intense peaks (10° ≤ 2θ ≤ 90°), low angle first:
- 2θ = 31.04°, intensity 100
- 2θ = 35.99°, intensity 51
- 2θ = 51.82°, intensity 36
- 2θ = 61.64°, intensity 43
- 2θ = 84.66°, intensity 18
- 2θ = 87.40°, intensity 17

Structure:
Cell: 7.892 7.892 9.980 Å, 90.00 90.00 143.14°
Fractional positions:
Tb 0.000 0.000 0.000
Tb 0.000 0.000 0.500
Sm 0.500 0.500 0.250
Sm 0.500 0.500 0.750
Ho 0.168 0.832 0.750
Ho 0.832 0.168 0.250
Tm 0.168 0.832 0.250
Tm 0.332 0.668 0.000
Tm 0.332 0.668 0.500
Tm 0.668 0.332 0.000
Tm 0.668 0.332 0.500
Tm 0.832 0.168 0.750